1.
For AcPmYSe3, a cell relaxed with PBE gives the calculated powder XRD pattern in this record (Cu Kα (weighted mean of Kα1 and Kα2)).

Crystal structure
```
data_AcPmYSe3
_chemical_formula_sum 'Ac2 Pm2 Y2 Se6'
_cell_length_a 8.195
_cell_length_b 4.243
_cell_length_c 10.470
_cell_angle_alpha 90.00
_cell_angle_beta 104.37
_cell_angle_gamma 90.00
_symmetry_space_group_name_H-M 'P 1'
_symmetry_Int_Tables_number 1
_symmetry_space_group_name_Hall 'P 1'
loop_
_atom_site_label
_atom_site_fract_x
_atom_site_fract_y
_atom_site_fract_z
_atom_site_occupancy
Ac1 0.193 0.250 0.216 1
Ac2 0.807 0.750 0.784 1
Pm1 0.334 0.750 0.908 1
Pm2 0.666 0.250 0.092 1
Y1 0.165 0.250 0.621 1
Y2 0.835 0.750 0.379 1
Se1 0.087 0.250 0.885 1
Se2 0.205 0.750 0.450 1
Se3 0.486 0.750 0.202 1
Se4 0.514 0.250 0.798 1
Se5 0.795 0.250 0.550 1
Se6 0.913 0.750 0.115 1
```

Main lines, by angle (2θ = 10–90°):
2θ 22.40, I 32
2θ 25.96, I 42
2θ 27.41, I 41
2θ 27.93, I 56
2θ 30.50, I 100
2θ 30.85, I 83
2θ 31.32, I 42
2θ 33.59, I 33
2θ 38.46, I 50
2θ 42.62, I 53

=====

2.
For Sr4Pa3ZnN8, a cell relaxed with PBE gives the calculated powder XRD pattern in this record (Cu Kα (weighted mean of Kα1 and Kα2)).

Crystal structure
```
data_Sr4Pa3ZnN8
_chemical_formula_sum 'Sr4 Pa3 Zn1 N8'
_cell_length_a 7.265
_cell_length_b 7.265
_cell_length_c 7.265
_cell_angle_alpha 58.90
_cell_angle_beta 58.90
_cell_angle_gamma 58.90
_symmetry_space_group_name_H-M 'P 1'
_symmetry_Int_Tables_number 1
_symmetry_space_group_name_Hall 'P 1'
loop_
_atom_site_label
_atom_site_fract_x
_atom_site_fract_y
_atom_site_fract_z
_atom_site_occupancy
Sr1 0.000 0.000 0.000 1
Sr2 0.000 0.500 0.500 1
Sr3 0.500 0.000 0.500 1
Sr4 0.500 0.500 0.000 1
Pa1 0.000 0.000 0.500 1
Pa2 0.000 0.500 0.000 1
Pa3 0.500 0.000 0.000 1
Zn1 0.500 0.500 0.500 1
N1 0.210 0.746 0.746 1
N2 0.233 0.233 0.233 1
N3 0.254 0.254 0.790 1
N4 0.254 0.790 0.254 1
N5 0.746 0.210 0.746 1
N6 0.746 0.746 0.210 1
N7 0.767 0.767 0.767 1
N8 0.790 0.254 0.254 1
```

Main lines, by angle (2θ = 10–90°):
2θ 14.81, I 33
2θ 29.30, I 16
2θ 29.88, I 36
2θ 30.57, I 99
2θ 35.24, I 100
2θ 50.25, I 35
2θ 51.15, I 34
2θ 59.57, I 17
2θ 60.37, I 32
2θ 63.64, I 17

=====

3.
For TbEr2Pt, a cell relaxed with PBE gives the calculated powder XRD pattern in this record (Cu Kα (weighted mean of Kα1 and Kα2)).

Crystal structure
```
data_TbEr2Pt
_chemical_formula_sum 'Tb2 Er4 Pt2'
_cell_length_a 6.366
_cell_length_b 6.366
_cell_length_c 9.268
_cell_angle_alpha 90.00
_cell_angle_beta 90.00
_cell_angle_gamma 145.50
_symmetry_space_group_name_H-M 'P 1'
_symmetry_Int_Tables_number 1
_symmetry_space_group_name_Hall 'P 1'
loop_
_atom_site_label
_atom_site_fract_x
_atom_site_fract_y
_atom_site_fract_z
_atom_site_occupancy
Tb1 0.067 0.933 0.750 1
Tb2 0.933 0.067 0.250 1
Er1 0.363 0.637 0.563 1
Er2 0.363 0.637 0.937 1
Er3 0.637 0.363 0.063 1
Er4 0.637 0.363 0.437 1
Pt1 0.241 0.759 0.250 1
Pt2 0.759 0.241 0.750 1
```

Main lines, by angle (2θ = 10–90°):
2θ 30.96, I 22
2θ 31.44, I 69
2θ 32.47, I 84
2θ 33.86, I 100
2θ 35.31, I 41
2θ 38.37, I 56
2θ 48.21, I 26
2θ 58.46, I 27
2θ 59.37, I 23
2θ 60.11, I 29